[1]
Computed X-ray powder pattern
Compound: Cr3GaFe3As2
Radiation: copper Kα
Structure: a DFT-relaxed cell (PBE, the Materials Project)
Kinematic intensities with the Lorentz-polarization factor, no thermal factor.

Unit cell a=6.0021 b=6.0021 c=3.8198 alpha=90.00 beta=90.00 gamma=120.00
Space group P-62m (No. 189)
Symmetry-distinct sites (fractional):
Cr (0.0000, 0.4251, 0.0000) [3 per cell]
Ga (0.0000, 0.0000, 0.0000) [1 per cell]
Fe (0.0000, 0.7578, 0.5000) [3 per cell]
As (0.3333, 0.6667, 0.5000) [2 per cell]

Peak list (10 most intense, 2θ from 5° to 70°, in order of rising 2θ)
2θ/deg  d_spacing  I (rel.)
29.77  3.001  15
38.14  2.360  63
42.05  2.149  100
46.21  1.965  32
47.61  1.910  34
52.37  1.747  38
52.84  1.733  22
61.83  1.501  7
68.52  1.369  18
69.72  1.349  7

***

[2]
Computed X-ray powder pattern
Compound: Nb6HSI9
Radiation: copper Kα
Structure: a DFT-relaxed cell (PBE, the Materials Project)
Kinematic intensities with the Lorentz-polarization factor, no thermal factor.

Unit cell a=10.551 b=10.709 c=11.839 alpha=105.22 beta=105.39 gamma=113.78
Space group P-1 (No. 2)
Symmetry-distinct sites (fractional):
Nb (0.072, 0.199, 0.458) [2 per cell]
Nb (0.074, 0.199, 0.171) [2 per cell]
Nb (0.123, 0.935, 0.114) [2 per cell]
Nb (0.123, 0.935, 0.414) [2 per cell]
Nb (0.193, 0.120, 0.973) [2 per cell]
Nb (0.194, 0.121, 0.676) [2 per cell]
H (0.000, 0.000, 0.000) [1 per cell]
H (0.000, 0.000, 0.500) [1 per cell]
S (0.002, 0.007, 0.252) [2 per cell]
I (0.138, 0.372, 0.027) [2 per cell]
I (0.140, 0.373, 0.716) [2 per cell]
I (0.167, 0.457, 0.398) [2 per cell]
I (0.238, 0.862, 0.929) [2 per cell]
I (0.241, 0.865, 0.620) [2 per cell]
I (0.286, 0.844, 0.281) [2 per cell]
I (0.379, 0.246, 0.553) [2 per cell]
I (0.381, 0.245, 0.242) [2 per cell]
I (0.453, 0.278, 0.924) [2 per cell]

Peak list (10 most intense, 2θ from 5° to 70°, in order of rising 2θ)
2θ/deg  d_spacing  I (rel.)
9.94  8.901  100
10.10  8.760  44
26.36  3.381  34
26.69  3.340  31
26.87  3.318  39
27.02  3.300  26
27.42  3.253  30
27.62  3.230  25
37.84  2.378  27
39.45  2.284  30

***

[3]
Computed X-ray powder pattern
Compound: Rb2HfF6
Radiation: copper Kα
Structure: a DFT-relaxed cell (PBE, the Materials Project)
Kinematic intensities with the Lorentz-polarization factor, no thermal factor.

Unit cell a=6.2234 b=6.2234 c=4.9258 alpha=90.00 beta=90.00 gamma=120.00
Space group P-3m1 (No. 164)
Symmetry-distinct sites (fractional):
Rb (0.3333, 0.6667, 0.1877) [2 per cell]
Hf (0.0000, 0.0000, 0.5000) [1 per cell]
F (0.1557, 0.3115, 0.7256) [6 per cell]

Peak list (10 most intense, 2θ from 5° to 70°, in order of rising 2θ)
2θ/deg  d_spacing  I (rel.)
16.45  5.390  31
24.48  3.636  100
28.69  3.112  56
38.06  2.364  53
40.26  2.240  27
48.35  1.882  30
50.18  1.818  22
58.83  1.570  23
59.41  1.556  15
64.13  1.452  15

***

[4]
Computed X-ray powder pattern
Compound: ZnInRh2
Radiation: copper Kα
Structure: a DFT-relaxed cell (PBE, the Materials Project)
Kinematic intensities with the Lorentz-polarization factor, no thermal factor.

Unit cell a=6.283 b=6.283 c=6.283 alpha=90.00 beta=90.00 gamma=90.00
Space group Fm-3m (No. 225)
Symmetry-distinct sites (fractional):
Zn (0.000, 0.000, 0.000) [4 per cell]
In (0.000, 0.000, 0.500) [4 per cell]
Rh (0.250, 0.250, 0.250) [8 per cell]

Peak list (5 most intense, 2θ from 5° to 70°, in order of rising 2θ)
2θ/deg  d_spacing  I (rel.)
24.54  3.628  3
40.61  2.221  100
48.02  1.894  2
58.78  1.571  16
64.66  1.441  1

***

[5]
Computed X-ray powder pattern
Compound: Tl3SiF7
Radiation: copper Kα
Structure: a DFT-relaxed cell (PBE, the Materials Project)
Kinematic intensities with the Lorentz-polarization factor, no thermal factor.

Unit cell a=6.932 b=8.164 c=8.227 alpha=119.01 beta=90.19 gamma=90.74
Space group P1 (No. 1)
Symmetry-distinct sites (fractional):
Tl (0.000, 0.000, 0.000) [1 per cell]
Tl (0.002, 0.497, 0.020) [1 per cell]
Tl (0.491, 0.308, 0.661) [1 per cell]
Tl (0.493, 0.831, 0.681) [1 per cell]
Tl (0.502, 0.298, 0.147) [1 per cell]
Tl (0.987, 0.975, 0.524) [1 per cell]
Si (0.007, 0.428, 0.492) [1 per cell]
Si (0.510, 0.788, 0.185) [1 per cell]
F (0.111, 0.440, 0.309) [1 per cell]
F (0.143, 0.230, 0.435) [1 per cell]
F (0.189, 0.564, 0.640) [1 per cell]
F (0.252, 0.114, 0.804) [1 per cell]
F (0.339, 0.777, 0.333) [1 per cell]
F (0.361, 0.916, 0.127) [1 per cell]
F (0.413, 0.582, 0.009) [1 per cell]
F (0.607, 0.985, 0.369) [1 per cell]
F (0.663, 0.655, 0.239) [1 per cell]
F (0.681, 0.795, 0.038) [1 per cell]
F (0.755, 0.163, 0.875) [1 per cell]
F (0.828, 0.286, 0.342) [1 per cell]
F (0.875, 0.622, 0.552) [1 per cell]
F (0.903, 0.398, 0.666) [1 per cell]

Peak list (10 most intense, 2θ from 5° to 70°, in order of rising 2θ)
2θ/deg  d_spacing  I (rel.)
24.75  3.597  28
25.71  3.466  74
27.81  3.207  43
27.93  3.195  51
28.07  3.179  43
28.31  3.153  100
28.44  3.139  55
46.47  1.954  25
47.17  1.927  26
51.64  1.770  39

***

[6]
Computed X-ray powder pattern
Compound: InO2
Radiation: copper Kα
Structure: a DFT-relaxed cell (PBE, the Materials Project)
Kinematic intensities with the Lorentz-polarization factor, no thermal factor.

Unit cell a=4.364 b=5.260 c=3.395 alpha=90.00 beta=90.00 gamma=90.00
Space group Pnnm (No. 58)
Symmetry-distinct sites (fractional):
In (0.000, 0.000, 0.000) [2 per cell]
O (0.210, 0.377, 0.000) [4 per cell]

Peak list (10 most intense, 2θ from 5° to 70°, in order of rising 2θ)
2θ/deg  d_spacing  I (rel.)
26.54  3.359  100
31.36  2.852  45
33.44  2.680  70
34.09  2.630  29
48.50  1.877  42
52.82  1.733  43
54.65  1.679  14
56.57  1.627  14
59.32  1.558  15
61.18  1.515  19

***

[7]
Computed X-ray powder pattern
Compound: PuPtO3
Radiation: copper Kα
Structure: a DFT-relaxed cell (PBE, the Materials Project)
Kinematic intensities with the Lorentz-polarization factor, no thermal factor.

Unit cell a=4.055 b=4.055 c=4.055 alpha=90.00 beta=90.00 gamma=90.00
Space group Pm-3m (No. 221)
Symmetry-distinct sites (fractional):
Pu (0.000, 0.000, 0.000) [1 per cell]
Pt (0.500, 0.500, 0.500) [1 per cell]
O (0.000, 0.500, 0.500) [3 per cell]

Peak list (5 most intense, 2θ from 5° to 70°, in order of rising 2θ)
2θ/deg  d_spacing  I (rel.)
31.20  2.867  100
38.46  2.341  2
44.70  2.027  25
55.52  1.655  41
65.07  1.433  16

***

[8]
Computed X-ray powder pattern
Compound: MgSi
Radiation: copper Kα
Structure: a DFT-relaxed cell (PBE, the Materials Project)
Kinematic intensities with the Lorentz-polarization factor, no thermal factor.

Unit cell a=11.030 b=4.066 c=10.479 alpha=90.00 beta=105.70 gamma=90.00
Space group C2/m (No. 12)
Symmetry-distinct sites (fractional):
Mg (0.097, 0.000, 0.259) [4 per cell]
Mg (0.127, 0.500, 0.812) [4 per cell]
Mg (0.179, 0.000, 0.589) [4 per cell]
Si (0.054, 0.500, 0.418) [4 per cell]
Si (0.110, 0.000, 0.981) [4 per cell]
Si (0.191, 0.500, 0.118) [4 per cell]

Peak list (10 most intense, 2θ from 5° to 70°, in order of rising 2θ)
2θ/deg  d_spacing  I (rel.)
8.77  10.088  17
32.90  2.722  61
33.62  2.666  19
33.79  2.653  28
37.40  2.405  100
38.54  2.336  52
41.37  2.183  21
42.22  2.140  19
42.56  2.124  17
44.56  2.033  47

***

[9]
Computed X-ray powder pattern
Compound: YC4NO9
Radiation: copper Kα
Structure: a DFT-relaxed cell (PBE, the Materials Project)
Kinematic intensities with the Lorentz-polarization factor, no thermal factor.

Unit cell a=8.598 b=5.668 c=12.081 alpha=90.00 beta=122.24 gamma=90.00
Space group P2/c (No. 13)
Symmetry-distinct sites (fractional):
Y (0.000, 0.086, 0.250) [2 per cell]
C (0.079, 0.091, 0.023) [4 per cell]
C (0.468, 0.217, 0.910) [4 per cell]
N (0.500, 0.439, 0.250) [2 per cell]
O (0.000, 0.458, 0.250) [2 per cell]
O (0.131, 0.200, 0.128) [4 per cell]
O (0.143, 0.112, 0.949) [4 per cell]
O (0.334, 0.148, 0.815) [4 per cell]
O (0.397, 0.281, 0.496) [4 per cell]

Peak list (10 most intense, 2θ from 5° to 70°, in order of rising 2θ)
2θ/deg  d_spacing  I (rel.)
12.17  7.272  89
14.96  5.923  64
15.63  5.668  100
19.86  4.470  82
24.21  3.677  60
24.48  3.636  42
29.19  3.060  50
34.18  2.623  45
36.77  2.444  40
42.97  2.105  41

***

[10]
Computed X-ray powder pattern
Compound: PW4Cl11
Radiation: copper Kα
Structure: a DFT-relaxed cell (PBE, the Materials Project)
Kinematic intensities with the Lorentz-polarization factor, no thermal factor.

Unit cell a=10.042 b=14.220 c=11.524 alpha=90.00 beta=90.00 gamma=90.00
Space group Cmcm (No. 63)
Symmetry-distinct sites (fractional):
P (0.000, 0.176, 0.250) [4 per cell]
W (0.130, 0.275, 0.128) [16 per cell]
Cl (0.000, 0.032, 0.250) [4 per cell]
Cl (0.000, 0.370, 0.506) [8 per cell]
Cl (0.157, 0.412, 0.250) [8 per cell]
Cl (0.170, 0.151, 0.513) [16 per cell]
Cl (0.192, 0.297, 0.750) [8 per cell]

Peak list (10 most intense, 2θ from 5° to 70°, in order of rising 2θ)
2θ/deg  d_spacing  I (rel.)
12.45  7.110  100
13.25  6.683  87
22.13  4.018  11
28.47  3.135  11
31.27  2.861  11
33.56  2.670  13
33.67  2.661  10
38.01  2.368  12
40.29  2.238  12
49.85  1.829  13

***

[11]
Computed X-ray powder pattern
Compound: AgAsF6
Radiation: copper Kα
Structure: a DFT-relaxed cell (PBE, the Materials Project)
Kinematic intensities with the Lorentz-polarization factor, no thermal factor.

Unit cell a=8.453 b=8.453 c=8.453 alpha=90.00 beta=90.00 gamma=90.00
Space group Fm-3m (No. 225)
Symmetry-distinct sites (fractional):
Ag (0.000, 0.000, 0.000) [4 per cell]
As (0.000, 0.000, 0.500) [4 per cell]
F (0.000, 0.000, 0.289) [24 per cell]

Peak list (10 most intense, 2θ from 5° to 70°, in order of rising 2θ)
2θ/deg  d_spacing  I (rel.)
21.02  4.226  100
29.90  2.988  37
35.21  2.549  3
36.84  2.440  4
42.79  2.113  22
46.85  1.939  5
48.14  1.890  35
53.08  1.725  12
62.12  1.494  12
66.35  1.409  15

***

[12]
Computed X-ray powder pattern
Compound: RbHg5Cl11
Radiation: copper Kα
Structure: a DFT-relaxed cell (PBE, the Materials Project)
Kinematic intensities with the Lorentz-polarization factor, no thermal factor.

Unit cell a=12.447 b=14.827 c=6.723 alpha=90.00 beta=119.63 gamma=90.00
Space group C2/m (No. 12)
Symmetry-distinct sites (fractional):
Rb (0.000, 0.000, 0.000) [2 per cell]
Hg (0.000, 0.500, 0.000) [2 per cell]
Hg (0.184, 0.168, 0.686) [8 per cell]
Cl (0.000, 0.000, 0.500) [2 per cell]
Cl (0.079, 0.219, 0.306) [8 per cell]
Cl (0.149, 0.500, 0.389) [4 per cell]
Cl (0.207, 0.375, 0.930) [8 per cell]

Peak list (10 most intense, 2θ from 5° to 70°, in order of rising 2θ)
2θ/deg  d_spacing  I (rel.)
14.48  6.116  100
19.75  4.496  44
20.32  4.370  44
22.34  3.980  52
27.43  3.252  44
28.25  3.159  58
28.71  3.110  63
29.21  3.058  39
32.98  2.716  51
46.92  1.936  38